This entry pairs a crystal structure of DySbO4 with its simulated PXRD pattern. Radiation: Cu Kα X-rays. Structure: a cell relaxed with PBE.

Structure:
a = 5.404 Å, b = 7.571 Å, c = 7.675 Å
α = 81.03°, β = 88.05°, γ = 89.53°
Fractional coordinates of all 24 atoms:
Dy 0.213 0.391 0.342
Dy 0.262 0.885 0.364
Dy 0.738 0.115 0.636
Dy 0.787 0.609 0.658
Sb 0.240 0.304 0.838
Sb 0.273 0.807 0.834
Sb 0.727 0.193 0.166
Sb 0.760 0.696 0.162
O 0.003 0.880 0.670
O 0.042 0.327 0.615
O 0.087 0.811 0.064
O 0.128 0.560 0.833
O 0.389 0.059 0.823
O 0.399 0.300 0.071
O 0.464 0.623 0.307
O 0.483 0.817 0.610
O 0.517 0.183 0.390
O 0.536 0.377 0.693
O 0.601 0.700 0.929
O 0.611 0.941 0.177
O 0.872 0.440 0.167
O 0.913 0.189 0.936
O 0.958 0.673 0.385
O 0.997 0.120 0.330

Top 10 peaks for 10 to 90 degrees two-theta, by angle:
hkl 0 0 2, 2θ = 23.48°, I = 18.6
hkl 1 0 2, 2θ = 28.32°, I = 64.9
hkl 1 2 0, 2θ = 29.04°, I = 100.0
hkl 1 0 -2, 2θ = 29.24°, I = 62.9
hkl -1 2 1, 2θ = 30.19°, I = 20.9
hkl 0 2 2, 2θ = 30.87°, I = 19.5
hkl 2 0 0, 2θ = 33.18°, I = 34.6
hkl 0 2 -2, 2θ = 36.29°, I = 20.2
hkl 0 4 1, 2θ = 48.29°, I = 17.0
hkl 2 2 -2, 2θ = 50.50°, I = 23.4